Starting from DFT lattice parameters and positions (PBE), the X-ray diffraction stick pattern of Tb2Ho7Er was calculated for Cu Kα (λ = 1.5418 Å).
Kinematic intensities with the Lorentz-polarization factor, no thermal factor.

Principal peaks in the range 15° ≤ 2θ ≤ 90°, in order of falling intensity:
- 2θ 31.10, intensity 1000
- 2θ 36.07, intensity 506
- 2θ 61.76, intensity 320
- 2θ 51.92, intensity 300
- 2θ 61.84, intensity 106
- 2θ 87.57, intensity 98
- 2θ 84.79, intensity 75
- 2θ 84.89, intensity 74

Cell and atoms:
```
data_Tb2Ho7Er
_cell_length_a 6.0953
_cell_length_b 6.1057
_cell_length_c 9.3087
_cell_angle_alpha 102.62
_cell_angle_beta 109.02
_cell_angle_gamma 99.57
_space_group_name_H-M_alt 'P -1'
_space_group_IT_number 2
_space_group_name_Hall '-P 1'
loop_
_atom_site_label
_atom_site_type_symbol
_atom_site_fract_x
_atom_site_fract_y
_atom_site_fract_z
Tb1 Tb 0.1002 0.0005 0.2004
Ho1 Ho 0.1001 0.4999 0.6996
Ho2 Ho 0.2999 0.0000 0.5996
Ho3 Ho 0.3004 0.5006 0.1003
Ho4 Ho 0.5000 0.0000 0.0000
Er1 Er 0.5000 0.5000 0.5000
```